Starting from DFT lattice parameters and positions (GGA-PBE), the PXRD pattern of TiNbW4 was simulated for Cu Kα, 1.54184 Å.
Neutral-atom scattering factors, no anomalous dispersion.

Cell and atoms:
```
TiNbW4
1.0
0.000 3.749 3.749
3.749 0.000 3.749
3.749 3.749 0.000
Ti Nb W
1 1 4
direct
0.000 0.000 0.000
0.250 0.250 0.250
0.125 0.625 0.625
0.625 0.125 0.625
0.625 0.625 0.125
0.625 0.625 0.625
```

Main lines, by angle (10° ≤ 2θ ≤ 90°):
- d 4.329, rel. 57
- d 2.651, rel. 8
- d 2.261, rel. 100
- d 2.164, rel. 72
- d 1.874, rel. 23
- d 1.720, rel. 14
- d 1.530, rel. 3
- d 1.443, rel. 32
- d 1.325, rel. 32
- d 1.267, rel. 11
- d 1.143, rel. 11
- d 1.130, rel. 28